This entry pairs a crystal structure of Mg2CoH5 with its calculated X-ray powder pattern. Radiation: Cu Kα X-rays. Structure: a DFT-relaxed cell (PBE, the Materials Project).
Lines closer than 0.1° are merged.

Principal peaks in the range 2θ from 5° to 70°, sorted by position:
hkl 1 0 1, d 3.681, intensity 100.0
hkl 1 1 0, d 3.148, intensity 1.3
hkl 1 1 2, d 2.269, intensity 83.6
hkl 2 0 0, d 2.226, intensity 37.8
hkl 1 0 3, d 1.959, intensity 15.9
hkl 2 1 1, d 1.905, intensity 29.0
hkl 0 0 4, d 1.637, intensity 7.7
hkl 2 2 0, d 1.574, intensity 13.6
hkl 2 1 3, d 1.471, intensity 11.4
hkl 3 0 1, d 1.447, intensity 5.4

Cell and atoms:
```
Mg2CoH5
1.0
4.4514 0.0000 0.0000
0.0000 4.4514 0.0000
0.0000 0.0000 6.5467
Mg Co H
4 2 10
Direct
0.2500 0.7500 0.0000
0.2500 0.7500 0.5000
0.7500 0.2500 0.0000
0.7500 0.2500 0.5000
0.2500 0.2500 0.2431
0.7500 0.7500 0.7569
0.0090 0.0090 0.2740
0.0090 0.4910 0.2740
0.2500 0.2500 0.0037
0.4910 0.0090 0.2740
0.4910 0.4910 0.2740
0.5090 0.5090 0.7260
0.5090 0.9910 0.7260
0.7500 0.7500 0.9963
0.9910 0.5090 0.7260
0.9910 0.9910 0.7260
```